Structure and calculated X-ray powder pattern of OsRh (the GGA-PBE geometry in Alexandria; Cu Ka).
Lines closer than 0.1° are merged.

Main lines, in order of rising 2θ (10° ≤ 2θ ≤ 80°):
- 2θ 18.66, rel. 5, (1 0 1)
- 2θ 24.78, rel. 3, (2 0 1)
- 2θ 26.13, rel. 3, (0 1 1)
- 2θ 27.79, rel. 2, (1 1 1)
- 2θ 37.85, rel. 24, (4 0 0)
- 2θ 38.80, rel. 2, (3 1 1)
- 2θ 41.51, rel. 25, (0 2 0)
- 2θ 43.38, rel. 100, (2 1 2)
- 2θ 45.87, rel. 1, (1 2 1)
- 2θ 57.42, rel. 15, (4 2 0)
- 2θ 68.35, rel. 17, (0 0 4)
- 2θ 77.03, rel. 18, (2 3 2)

Atomic structure:
Unit cell a=9.5032 b=4.3505 c=5.4929 alpha=90.00 beta=90.00 gamma=90.00
Space group Pnma (No. 62)
One atom of each set of equivalent atoms:
Os: 0.0848 0.2500 0.0008 (multiplicity 4)
Os: 0.1637 0.7500 0.2506 (multiplicity 4)
Rh: 0.0830 0.2500 0.5057 (multiplicity 4)
Rh: 0.1686 0.7500 0.7498 (multiplicity 4)

Structure and calculated X-ray powder pattern of OsRh3 (the GGA-PBE geometry in Alexandria; Cu Ka).
Lines closer than 0.1° are merged.

Main lines, in order of rising 2θ (10° ≤ 2θ ≤ 80°):
- 2θ 18.72, rel. 5, (1 0 0)
- 2θ 27.73, rel. 7, (1 0 1)
- 2θ 32.72, rel. 4, (1 1 0)
- 2θ 37.97, rel. 24, (2 0 0)
- 2θ 41.21, rel. 26, (0 0 2)
- 2θ 43.41, rel. 100, (2 0 1)
- 2θ 53.59, rel. 2, (1 1 2)
- 2θ 55.41, rel. 3, (2 1 1)
- 2θ 57.27, rel. 15, (2 0 2)
- 2θ 68.59, rel. 17, (2 2 0)
- 2θ 75.51, rel. 1, (3 1 1)
- 2θ 76.64, rel. 18, (2 0 3)

Atomic structure:
Unit cell a=5.4731 b=5.4731 c=4.3813 alpha=90.00 beta=90.00 gamma=120.00
Space group P6_3/mmc (No. 194)
One atom of each set of equivalent atoms:
Os: 0.3333 0.6667 0.2500 (multiplicity 2)
Rh: 0.1693 0.3385 0.7500 (multiplicity 6)

Structure and calculated X-ray powder pattern of Os3Ru3Rh (the GGA-PBE geometry in Alexandria; Cu Ka).
Lines closer than 0.1° are merged.

Main lines, in order of rising 2θ (10° ≤ 2θ ≤ 80°):
- 2θ 19.97, rel. 18, (1 0 1)
- 2θ 30.03, rel. 32, (0 2 1)
- 2θ 37.67, rel. 32, (2 1 1)
- 2θ 38.97, rel. 56, (3 0 0)
- 2θ 40.58, rel. 100, (2 0 2)
- 2θ 45.30, rel. 52, (2 2 0)
- 2θ 46.74, rel. 36, (1 2 2)
- 2θ 47.05, rel. 14, (0 0 3)
- 2θ 49.97, rel. 16, (1 3 1)
- 2θ 62.68, rel. 13, (0 3 3)
- 2θ 67.12, rel. 14, (2 3 2)
- 2θ 67.37, rel. 17, (2 2 3)

Atomic structure:
Unit cell a=8.0070 b=8.0070 c=5.7948 alpha=90.00 beta=90.00 gamma=120.00
Space group R3m (No. 160, hexagonal axes)
One atom of each set of equivalent atoms:
Os: 0.0348 0.5174 0.0000 (multiplicity 9)
Ru: 0.0925 0.5462 0.5728 (multiplicity 9)
Rh: 0.0000 0.0000 0.5721 (multiplicity 3)

Structure and calculated X-ray powder pattern of OsRu4Rh (the GGA-PBE geometry in Alexandria; Cu Ka).
Lines closer than 0.1° are merged.

Main lines, in order of rising 2θ (10° ≤ 2θ ≤ 80°):
- 2θ 12.48, rel. 10, (0 0 2)
- 2θ 24.10, rel. 4, (1 0 2)
- 2θ 37.93, rel. 24, (0 1 3)
- 2θ 38.08, rel. 13, (0 0 6)
- 2θ 41.76, rel. 37, (2 0 0)
- 2θ 43.51, rel. 100, (1 1 3)
- 2θ 43.64, rel. 48, (1 0 6)
- 2θ 57.68, rel. 14, (2 1 3)
- 2θ 57.79, rel. 8, (2 0 6)
- 2θ 68.41, rel. 9, (0 2 0)
- 2θ 68.71, rel. 16, (0 1 9)
- 2θ 77.49, rel. 27, (3 1 3)

Atomic structure:
Unit cell a=4.3257 b=2.7426 c=14.1801 alpha=90.00 beta=90.00 gamma=90.00
Space group Amm2 (No. 38)
One atom of each set of equivalent atoms:
Os: 0.0000 0.0000 0.0000 (multiplicity 2)
Ru: 0.0000 0.0000 0.3351 (multiplicity 2)
Ru: 0.0000 0.0000 0.6664 (multiplicity 2)
Ru: 0.5000 0.0000 0.5536 (multiplicity 2)
Ru: 0.5000 0.0000 0.8900 (multiplicity 2)
Rh: 0.5000 0.0000 0.2212 (multiplicity 2)